Simulated X-ray diffraction stick pattern of Sc6Sn2Sb for Cu Kα, from a DFT-relaxed cell (PBE, Alexandria).
Neutral-atom scattering factors, no anomalous dispersion.

Crystal structure
Cell lengths 7.8878, 7.8878, 3.9316 Å; angles 90.00, 90.00, 120.00 degrees
Space group P-62m (No. 189)
One atom of each set of equivalent atoms:
Sc  0.0000  0.3934  0.0000 (multiplicity 3)
Sc  0.0000  0.7300  0.5000 (multiplicity 3)
Sn  0.3333  0.6667  0.5000 (multiplicity 2)
Sb  0.0000  0.0000  0.0000 (multiplicity 1)

Peak list (8 most intense, 2θ = 5–70°, by angle)
d (Å)  2theta  I (rel.)  (hkl)
3.943  22.55  69  1 1 0
3.408  26.15  49  1 0 1
2.784  32.15  49  1 1 1
2.579  34.79  100  2 0 1
2.277  39.58  68  3 0 0
2.158  41.86  62  2 1 1
1.488  62.41  35  3 0 2
1.456  63.95  33  3 2 1